Record 1
This entry pairs a crystal structure of Ac2H3O with its theoretical X-ray diffraction stick pattern. Radiation: Cu Kα (λ = 1.5418 Å). Structure: the GGA-PBE geometry in Alexandria.
Kinematic intensities with the Lorentz-polarization factor, no thermal factor.

Structure:
```
data_Ac2H3O
_cell_length_a 5.9027
_cell_length_b 5.9027
_cell_length_c 5.9027
_cell_angle_alpha 90.00
_cell_angle_beta 90.00
_cell_angle_gamma 90.00
_symmetry_space_group_name_H-M 'P n -3 m'
_symmetry_Int_Tables_number 224
loop_
_symmetry_equiv_pos_as_xyz
'x,y,z'
'-x,-y,-z'
'-y,x+1/2,z+1/2'
'y,-x+1/2,-z+1/2'
'-x+1/2,-y+1/2,z'
'x+1/2,y+1/2,-z'
'y+1/2,-x,z+1/2'
'-y+1/2,x,-z+1/2'
'x,-y+1/2,-z+1/2'
'-x,y+1/2,z+1/2'
'-y,-x,-z'
'y,x,z'
'-x+1/2,y,-z+1/2'
'x+1/2,-y,z+1/2'
'y+1/2,x+1/2,-z'
'-y+1/2,-x+1/2,z'
'z,x,y'
'-z,-x,-y'
'z+1/2,-y,x+1/2'
'-z+1/2,y,-x+1/2'
'z,-x+1/2,-y+1/2'
'-z,x+1/2,y+1/2'
'z+1/2,y+1/2,-x'
'-z+1/2,-y+1/2,x'
'-z+1/2,x,-y+1/2'
'z+1/2,-x,y+1/2'
'-z,-y,-x'
'z,y,x'
'-z+1/2,-x+1/2,y'
'z+1/2,x+1/2,-y'
'-z,y+1/2,x+1/2'
'z,-y+1/2,-x+1/2'
'y,z,x'
'-y,-z,-x'
'x+1/2,z+1/2,-y'
'-x+1/2,-z+1/2,y'
'-y+1/2,z,-x+1/2'
'y+1/2,-z,x+1/2'
'-x,z+1/2,y+1/2'
'x,-z+1/2,-y+1/2'
'-y+1/2,-z+1/2,x'
'y+1/2,z+1/2,-x'
'-x,-z,-y'
'x,z,y'
'y,-z+1/2,-x+1/2'
'-y,z+1/2,x+1/2'
'x+1/2,-z,y+1/2'
'-x+1/2,z,-y+1/2'
loop_
_atom_site_label
_atom_site_fract_x
_atom_site_fract_y
_atom_site_fract_z
Ac1 0.0000 0.0000 0.0000
H1 0.2500 0.2500 0.7500
O1 0.2500 0.2500 0.2500
```

Top 10 peaks for 10 to 90 degrees two-theta, low angle first:
Position (°2θ)	I (rel.)	h k l
26.15	100	1 1 1
30.28	47	2 0 0
43.36	43	2 2 0
51.34	49	3 1 1
53.80	13	2 2 2
62.99	7	4 0 0
69.40	20	3 3 1
71.48	18	4 2 0
79.56	15	4 2 2
85.48	16	5 1 1

Record 2
This entry pairs a crystal structure of Ac4H8O3 with its theoretical X-ray diffraction stick pattern. Radiation: Cu Kα (λ = 1.5418 Å). Structure: the GGA-PBE geometry in Alexandria.
Kinematic intensities with the Lorentz-polarization factor, no thermal factor.

Structure:
```
data_Ac4H8O3
_cell_length_a 11.5283
_cell_length_b 11.5283
_cell_length_c 11.5283
_cell_angle_alpha 90.00
_cell_angle_beta 90.00
_cell_angle_gamma 90.00
_symmetry_space_group_name_H-M 'F m -3 m'
_symmetry_Int_Tables_number 225
_symmetry_space_group_name_Hall '-F 4 2 3'
loop_
_atom_site_label
_atom_site_fract_x
_atom_site_fract_y
_atom_site_fract_z
Ac1 0.0000 0.0000 0.0000
Ac2 0.0000 0.0000 0.5000
Ac3 0.0000 0.2500 0.2500
H1 0.1243 0.1243 0.1243
H2 0.1722 0.1722 0.3278
O1 0.0000 0.0000 0.2806
```

Top 10 peaks for 10 to 90 degrees two-theta, low angle first:
Position (°2θ)	I (rel.)	h k l
26.79	100	2 2 2
31.03	64	4 0 0
44.45	49	4 4 0
52.66	51	6 2 2
55.20	17	4 4 4
64.68	8	8 0 0
71.32	22	6 6 2
73.47	22	8 4 0
81.87	16	8 4 4
88.05	18	6 6 6

Record 3
This entry pairs a crystal structure of AcH2PdO4 with its theoretical X-ray diffraction stick pattern. Radiation: Cu Kα (λ = 1.5418 Å). Structure: the GGA-PBE geometry in Alexandria.
Kinematic intensities with the Lorentz-polarization factor, no thermal factor.

Structure:
```
data_AcH2PdO4
_cell_length_a 4.9861
_cell_length_b 5.6694
_cell_length_c 6.7255
_cell_angle_alpha 90.00
_cell_angle_beta 90.00
_cell_angle_gamma 90.00
_symmetry_space_group_name_H-M 'I 2 2 2'
_symmetry_Int_Tables_number 23
loop_
_symmetry_equiv_pos_as_xyz
'x,y,z'
'-x,-y,z'
'x,-y,-z'
'-x,y,-z'
'x+1/2,y+1/2,z+1/2'
'-x+1/2,-y+1/2,z+1/2'
'x+1/2,-y+1/2,-z+1/2'
'-x+1/2,y+1/2,-z+1/2'
loop_
_atom_site_label
_atom_site_fract_x
_atom_site_fract_y
_atom_site_fract_z
Ac1 0.0000 0.0000 0.0000
H1 0.0000 0.5000 0.1857
Pd1 0.0000 0.0000 0.5000
O1 0.2124 0.3994 0.8062
```

Top 12 peaks for 10 to 90 degrees two-theta, low angle first:
Position (°2θ)	I (rel.)	h k l
22.19	16	1 0 1
23.76	100	1 1 0
26.51	29	0 0 2
31.56	31	0 2 0
35.90	84	1 1 2
41.67	23	0 2 2
45.28	26	2 0 2
48.64	15	2 2 0
51.73	14	1 3 0
56.24	23	2 2 2
59.05	19	1 3 2
60.35	17	1 1 4

Record 4
This entry pairs a crystal structure of Ac2PmH2O6 with its theoretical X-ray diffraction stick pattern. Radiation: Cu Kα (λ = 1.5418 Å). Structure: the GGA-PBE geometry in Alexandria.
Kinematic intensities with the Lorentz-polarization factor, no thermal factor.

Structure:
```
data_Ac2PmH2O6
_cell_length_a 5.3363
_cell_length_b 5.3363
_cell_length_c 17.9624
_cell_angle_alpha 90.00
_cell_angle_beta 90.00
_cell_angle_gamma 120.00
_symmetry_space_group_name_H-M 'R -3 m'
_symmetry_Int_Tables_number 166
_symmetry_space_group_name_Hall '-R 3 2"'
loop_
_atom_site_label
_atom_site_fract_x
_atom_site_fract_y
_atom_site_fract_z
Ac1 0.0000 0.0000 0.2124
Pm1 0.0000 0.0000 0.0000
H1 0.0000 0.0000 0.4290
O1 0.0178 0.5089 0.2401
```

Top 12 peaks for 10 to 90 degrees two-theta, low angle first:
Position (°2θ)	I (rel.)	h k l
19.84	57	1 0 1
21.63	34	0 1 2
27.70	63	1 0 4
31.54	100	0 1 5
33.59	86	1 1 0
40.30	19	2 0 2
44.07	32	0 2 4
46.74	38	2 0 5
56.53	18	2 1 4
57.68	31	1 1 9
58.78	33	1 2 5
60.06	17	3 0 0

Record 5
This entry pairs a crystal structure of Ac2H2PtO6 with its theoretical X-ray diffraction stick pattern. Radiation: Cu Kα (λ = 1.5418 Å). Structure: the GGA-PBE geometry in Alexandria.
Kinematic intensities with the Lorentz-polarization factor, no thermal factor.

Structure:
```
data_Ac2H2PtO6
_cell_length_a 5.3028
_cell_length_b 5.3028
_cell_length_c 15.4825
_cell_angle_alpha 90.00
_cell_angle_beta 90.00
_cell_angle_gamma 120.00
_symmetry_space_group_name_H-M 'R -3 m'
_symmetry_Int_Tables_number 166
_symmetry_space_group_name_Hall '-R 3 2"'
loop_
_atom_site_label
_atom_site_fract_x
_atom_site_fract_y
_atom_site_fract_z
Ac1 0.0000 0.0000 0.2340
H1 0.0000 0.0000 0.4135
Pt1 0.0000 0.0000 0.0000
O1 0.0102 0.5051 0.2485
```

Top 12 peaks for 10 to 90 degrees two-theta, low angle first:
Position (°2θ)	I (rel.)	h k l
20.17	44	1 0 1
22.51	26	0 1 2
30.20	100	1 0 4
33.81	86	1 1 0
34.95	36	0 1 5
41.00	16	2 0 2
45.96	48	0 2 4
51.22	16	0 1 8
58.26	33	2 1 4
60.48	17	3 0 0
64.58	22	1 1 9
79.17	14	1 3 4

Record 6
This entry pairs a crystal structure of AcPuH2O6 with its theoretical X-ray diffraction stick pattern. Radiation: Cu Kα (λ = 1.5418 Å). Structure: the GGA-PBE geometry in Alexandria.
Kinematic intensities with the Lorentz-polarization factor, no thermal factor.

Structure:
```
data_AcPuH2O6
_cell_length_a 5.0399
_cell_length_b 5.6352
_cell_length_c 5.8960
_cell_angle_alpha 66.88
_cell_angle_beta 72.84
_cell_angle_gamma 67.21
_symmetry_space_group_name_H-M 'P -1'
_symmetry_Int_Tables_number 2
loop_
_symmetry_equiv_pos_as_xyz
'x,y,z'
'-x,-y,-z'
loop_
_atom_site_label
_atom_site_fract_x
_atom_site_fract_y
_atom_site_fract_z
Ac1 0.0000 0.0000 0.0000
Pu1 0.5000 0.5000 0.5000
H1 0.0646 0.3233 0.2843
O1 0.1008 0.7262 0.7227
O2 0.2585 0.5308 0.2862
O3 0.4392 0.1634 0.7284
```

Top 12 peaks for 10 to 90 degrees two-theta, low angle first:
Position (°2θ)	I (rel.)	h k l
20.28	100	0 1 1
22.04	78	1 1 0
23.35	69	1 0 1
27.70	46	1 0 -1
28.24	45	0 1 -1
30.47	31	1 -1 0
31.76	34	1 1 2
32.38	23	1 2 1
35.99	20	2 1 1
36.46	21	0 2 0
43.92	33	-1 1 2
47.80	21	1 -1 2

Record 7
This entry pairs a crystal structure of Ac2H2RuO6 with its theoretical X-ray diffraction stick pattern. Radiation: Cu Kα (λ = 1.5418 Å). Structure: the GGA-PBE geometry in Alexandria.
Kinematic intensities with the Lorentz-polarization factor, no thermal factor.

Structure:
```
data_Ac2H2RuO6
_cell_length_a 5.3116
_cell_length_b 5.3116
_cell_length_c 15.1633
_cell_angle_alpha 90.00
_cell_angle_beta 90.00
_cell_angle_gamma 120.00
_symmetry_space_group_name_H-M 'R -3 m'
_symmetry_Int_Tables_number 166
_symmetry_space_group_name_Hall '-R 3 2"'
loop_
_atom_site_label
_atom_site_fract_x
_atom_site_fract_y
_atom_site_fract_z
Ac1 0.0000 0.0000 0.2363
H1 0.0000 0.0000 0.4158
Ru1 0.0000 0.0000 0.0000
O1 0.0131 0.5066 0.2513
```

Top 12 peaks for 10 to 90 degrees two-theta, low angle first:
Position (°2θ)	I (rel.)	h k l
20.17	22	1 0 1
22.61	76	0 1 2
30.56	100	1 0 4
33.75	88	1 1 0
35.48	40	0 0 6
41.01	36	2 0 2
46.16	52	0 2 4
49.79	24	2 0 5
52.20	17	0 1 8
58.39	34	2 1 4
60.37	17	3 0 0
65.62	17	1 1 9

Record 8
This entry pairs a crystal structure of AcHSe2O8 with its theoretical X-ray diffraction stick pattern. Radiation: Cu Kα (λ = 1.5418 Å). Structure: the GGA-PBE geometry in Alexandria.
Kinematic intensities with the Lorentz-polarization factor, no thermal factor.

Structure:
```
data_AcHSe2O8
_cell_length_a 10.5434
_cell_length_b 5.0264
_cell_length_c 6.6365
_cell_angle_alpha 90.00
_cell_angle_beta 117.17
_cell_angle_gamma 90.00
_symmetry_space_group_name_H-M 'C 1 2/m 1'
_symmetry_Int_Tables_number 12
loop_
_symmetry_equiv_pos_as_xyz
'x,y,z'
'-x,-y,-z'
'-x,y,-z'
'x,-y,z'
'x+1/2,y+1/2,z'
'-x+1/2,-y+1/2,-z'
'-x+1/2,y+1/2,-z'
'x+1/2,-y+1/2,z'
loop_
_atom_site_label
_atom_site_fract_x
_atom_site_fract_y
_atom_site_fract_z
Ac1 0.0000 0.0000 0.0000
H1 0.0000 0.5000 0.5000
Se1 0.1877 0.0000 0.6652
O1 0.1067 0.2612 0.7179
O2 0.1384 0.5000 0.1477
O3 0.1747 0.0000 0.4063
```

Top 12 peaks for 10 to 90 degrees two-theta, low angle first:
Position (°2θ)	I (rel.)	h k l
18.00	23	2 0 -1
20.04	100	1 1 0
27.38	50	2 0 -2
27.66	55	1 1 1
29.23	46	2 0 1
31.12	69	3 1 -1
32.62	33	1 1 -2
35.70	37	0 2 0
40.27	25	2 2 -1
42.40	18	3 1 1
45.59	22	2 2 -2
52.03	18	5 1 0

Record 9
This entry pairs a crystal structure of Ac2TaHO6 with its theoretical X-ray diffraction stick pattern. Radiation: Cu Kα (λ = 1.5418 Å). Structure: the GGA-PBE geometry in Alexandria.
Kinematic intensities with the Lorentz-polarization factor, no thermal factor.

Structure:
```
data_Ac2TaHO6
_cell_length_a 5.6287
_cell_length_b 5.5193
_cell_length_c 10.1089
_cell_angle_alpha 90.00
_cell_angle_beta 122.63
_cell_angle_gamma 90.00
_symmetry_space_group_name_H-M 'P 1 21/c 1'
_symmetry_Int_Tables_number 14
loop_
_symmetry_equiv_pos_as_xyz
'x,y,z'
'-x,-y,-z'
'-x,y+1/2,-z+1/2'
'x,-y+1/2,z+1/2'
loop_
_atom_site_label
_atom_site_fract_x
_atom_site_fract_y
_atom_site_fract_z
Ac1 0.2321 0.0147 0.2445
Ta1 0.5000 0.0000 0.0000
H1 0.0000 0.0000 0.5000
O1 0.1963 0.2344 0.9625
O2 0.2272 0.7322 0.9596
O3 0.3461 0.0080 0.7707
```

Top 12 peaks for 10 to 90 degrees two-theta, low angle first:
Position (°2θ)	I (rel.)	h k l
19.14	54	1 0 -2
20.87	19	0 0 2
22.56	31	1 1 -1
30.69	100	1 1 1
31.15	95	1 1 -3
31.80	43	2 0 -2
32.44	42	0 2 0
42.47	28	0 0 4
46.07	45	2 2 -2
54.44	22	0 2 4
55.68	20	3 1 -1
56.54	24	3 1 -5

Record 10
This entry pairs a crystal structure of Ac2UHO6 with its theoretical X-ray diffraction stick pattern. Radiation: Cu Kα (λ = 1.5418 Å). Structure: the GGA-PBE geometry in Alexandria.
Kinematic intensities with the Lorentz-polarization factor, no thermal factor.

Structure:
```
data_Ac2UHO6
_cell_length_a 4.3841
_cell_length_b 6.0445
_cell_length_c 6.7241
_cell_angle_alpha 111.40
_cell_angle_beta 105.54
_cell_angle_gamma 100.45
_symmetry_space_group_name_H-M 'P 1'
_symmetry_Int_Tables_number 1
loop_
_symmetry_equiv_pos_as_xyz
'x,y,z'
loop_
_atom_site_label
_atom_site_fract_x
_atom_site_fract_y
_atom_site_fract_z
Ac1 0.0000 0.0000 0.0000
Ac2 0.3251 0.3421 0.6751
U1 0.7502 0.6107 0.3324
H1 0.4453 0.9343 0.4265
O1 0.2118 0.9272 0.3481
O2 0.2480 0.4558 0.3315
O3 0.5675 0.2377 0.0313
O4 0.5764 0.7067 0.0589
O5 0.8200 0.9800 0.6019
O6 0.8774 0.5454 0.6391
```

Top 12 peaks for 10 to 90 degrees two-theta, low angle first:
Position (°2θ)	I (rel.)	h k l
23.20	64	1 -1 0
27.10	49	0 1 1
27.71	100	1 1 -1
30.08	26	0 2 -1
30.63	25	1 0 -2
31.33	25	1 0 1
40.14	16	-1 2 1
41.59	16	1 -2 2
41.92	17	2 0 -1
46.28	17	1 2 0
46.60	15	1 2 -3
46.75	17	0 0 3

Record 11
This entry pairs a crystal structure of AcH4Os with its theoretical X-ray diffraction stick pattern. Radiation: Cu Kα (λ = 1.5418 Å). Structure: the GGA-PBE geometry in Alexandria.
Kinematic intensities with the Lorentz-polarization factor, no thermal factor.

Structure:
```
data_AcH4Os
_cell_length_a 8.7340
_cell_length_b 8.2016
_cell_length_c 3.8683
_cell_angle_alpha 90.00
_cell_angle_beta 90.00
_cell_angle_gamma 90.00
_symmetry_space_group_name_H-M 'A m a 2'
_symmetry_Int_Tables_number 40
loop_
_symmetry_equiv_pos_as_xyz
'x,y,z'
'-x,-y,z'
'-x+1/2,y,z'
'x+1/2,-y,z'
'x,y+1/2,z+1/2'
'-x,-y+1/2,z+1/2'
'-x+1/2,y+1/2,z+1/2'
'x+1/2,-y+1/2,z+1/2'
loop_
_atom_site_label
_atom_site_fract_x
_atom_site_fract_y
_atom_site_fract_z
Ac1 0.0000 0.0000 0.0000
H1 0.0538 0.1933 0.5076
H2 0.2500 0.1881 0.0004
H3 0.2500 0.4855 0.9425
Os1 0.2500 0.1868 0.5131
```

Top 12 peaks for 10 to 90 degrees two-theta, low angle first:
Position (°2θ)	I (rel.)	h k l
23.97	23	1 2 0
25.46	24	0 1 1
27.46	54	1 1 1
29.89	90	2 2 0
32.80	100	2 1 1
40.37	71	0 3 1
41.35	26	4 0 0
46.98	18	0 0 2
56.68	31	2 2 2
59.18	41	4 3 1
64.35	14	4 0 2
65.39	25	2 5 1

Record 12
This entry pairs a crystal structure of Ac4P3H with its theoretical X-ray diffraction stick pattern. Radiation: Cu Kα (λ = 1.5418 Å). Structure: the GGA-PBE geometry in Alexandria.
Kinematic intensities with the Lorentz-polarization factor, no thermal factor.

Structure:
```
data_Ac4P3H
_cell_length_a 4.3741
_cell_length_b 12.2507
_cell_length_c 8.7621
_cell_angle_alpha 90.00
_cell_angle_beta 90.00
_cell_angle_gamma 90.00
_symmetry_space_group_name_H-M 'A m m 2'
_symmetry_Int_Tables_number 38
loop_
_symmetry_equiv_pos_as_xyz
'x,y,z'
'-x,-y,z'
'-x,y,z'
'x,-y,z'
'x,y+1/2,z+1/2'
'-x,-y+1/2,z+1/2'
'-x,y+1/2,z+1/2'
'x,-y+1/2,z+1/2'
loop_
_atom_site_label
_atom_site_fract_x
_atom_site_fract_y
_atom_site_fract_z
Ac1 0.0000 0.0000 0.0000
Ac2 0.0000 0.0000 0.4825
Ac3 0.5000 0.2495 0.7415
P1 0.0000 0.2500 0.4915
P2 0.5000 0.0000 0.2414
H1 0.5000 0.0000 0.7432
```

Top 12 peaks for 10 to 90 degrees two-theta, low angle first:
Position (°2θ)	I (rel.)	h k l
25.00	100	1 2 0
28.84	55	1 0 2
29.16	27	0 4 0
41.25	21	2 0 0
41.48	42	1 4 2
48.84	35	2 2 2
49.24	17	1 6 0
51.31	23	2 4 0
66.13	14	2 6 2
67.68	10	3 0 2
67.85	10	2 4 4
75.35	15	3 4 2

Record 13
This entry pairs a crystal structure of Ac3P2HPd9 with its theoretical X-ray diffraction stick pattern. Radiation: Cu Kα (λ = 1.5418 Å). Structure: the GGA-PBE geometry in Alexandria.
Kinematic intensities with the Lorentz-polarization factor, no thermal factor.

Structure:
```
data_Ac3P2HPd9
_cell_length_a 6.5943
_cell_length_b 6.5943
_cell_length_c 7.5689
_cell_angle_alpha 90.00
_cell_angle_beta 90.00
_cell_angle_gamma 120.00
_symmetry_space_group_name_H-M 'P -3 m 1'
_symmetry_Int_Tables_number 164
_symmetry_space_group_name_Hall '-P 3 2"'
loop_
_atom_site_label
_atom_site_fract_x
_atom_site_fract_y
_atom_site_fract_z
Ac1 0.0000 0.0000 0.0000
Ac2 0.3333 0.6667 0.6575
P1 0.3333 0.6667 0.2100
H1 0.0000 0.0000 0.5000
Pd1 0.0000 0.5000 0.0000
Pd2 0.1447 0.2893 0.3404
```

Top 12 peaks for 10 to 90 degrees two-theta, low angle first:
Position (°2θ)	I (rel.)	h k l
19.47	10	1 0 1
27.04	14	1 1 0
28.29	11	0 1 2
33.54	100	0 2 1
35.58	30	0 0 3
39.54	73	2 0 2
55.76	24	2 2 0
58.52	22	0 2 4
66.66	12	4 0 1
67.92	23	2 2 3
70.44	23	2 0 5
85.13	7	4 0 4